Diffraction record for Ca2Al7Ag12. The X-ray diffraction stick pattern is theoretical, not measured: it uses DFT lattice parameters and positions (GGA-PBE) and copper Kα.
Peak positions follow from Bragg's law for the DFT cell and can differ from measured ones.

Cell and atoms:
```
data_Ca2Al7Ag12
_cell_length_a 10.6514
_cell_length_b 10.6514
_cell_length_c 4.1486
_cell_angle_alpha 90.00
_cell_angle_beta 90.00
_cell_angle_gamma 120.00
_space_group_name_H-M_alt 'P -3'
_space_group_IT_number 147
loop_
_space_group_symop_operation_xyz
'x,y,z'
'-x,-y,-z'
'-y,x-y,z'
'y,-x+y,-z'
'-x+y,-x,z'
'x-y,x,-z'
loop_
_atom_site_label
_atom_site_fract_x
_atom_site_fract_y
_atom_site_fract_z
_atom_site_occupancy
Ca1 0.3333 0.6667 0.2458 1
Al1 0.0000 0.0000 0.5000 1
Al2 0.1165 0.7062 0.7444 1
Ag1 0.0600 0.4373 0.7512 1
Ag2 0.1204 0.2615 0.2386 1
```

Top 6 peaks for 2θ = 10–80°, by angle:
5.326 Å, I = 21; 2.669 Å, I = 100; 2.178 Å, I = 21; 2.116 Å, I = 29; 2.074 Å, I = 18; 2.014 Å, I = 27